Record 1
Diffraction record for NdHoAl4. The powder X-ray diffraction pattern is simulated, not measured: it uses a crystal structure in the Materials Project, relaxed with GGA-PBE and Cu Kα X-rays.

Main lines, by angle (2θ = 5–70°):
Position (°2θ), intensity, index
19.35, 62.1, 1 1 1
31.85, 99.6, 2 2 0
37.54, 100.0, 3 1 1
39.28, 4.7, 2 2 2
45.67, 7.9, 4 0 0
50.03, 16.2, 3 3 1
56.75, 38.8, 4 2 2
60.54, 33.0, 5 1 1
66.57, 21.7, 4 4 0

```
data_NdHoAl4
_cell_length_a 7.946
_cell_length_b 7.946
_cell_length_c 7.946
_cell_angle_alpha 90.00
_cell_angle_beta 90.00
_cell_angle_gamma 90.00
_space_group_name_H-M_alt 'F -4 3 m'
_space_group_IT_number 216
_space_group_name_Hall 'F -4 2 3'
loop_
_atom_site_label
_atom_site_fract_x
_atom_site_fract_y
_atom_site_fract_z
_atom_site_occupancy
Nd1 0.000 0.000 0.000 1
Ho1 0.250 0.250 0.750 1
Al1 0.125 0.125 0.375 1
```

***

Record 2
Diffraction record for Ho3Al2Ni6. The powder X-ray diffraction pattern is simulated, not measured: it uses a crystal structure in the Materials Project, relaxed with GGA-PBE and Cu Kα X-rays.

Main lines, by angle (2θ = 5–70°):
Position (°2θ), intensity, index
24.55, 22.6, 2 1 1
28.42, 12.2, 2 2 0
31.86, 40.0, 3 1 0
34.99, 27.3, 2 2 2
37.90, 24.1, 3 2 1
40.63, 18.9, 4 0 0
43.21, 100.0, 3 3 0
56.76, 18.2, 5 2 1
60.80, 12.7, 4 3 3
64.69, 16.7, 5 3 2

```
data_Ho3Al2Ni6
_cell_length_a 8.883
_cell_length_b 8.883
_cell_length_c 8.883
_cell_angle_alpha 90.00
_cell_angle_beta 90.00
_cell_angle_gamma 90.00
_space_group_name_H-M_alt 'I m -3 m'
_space_group_IT_number 229
_space_group_name_Hall '-I 4 2 3'
loop_
_atom_site_label
_atom_site_fract_x
_atom_site_fract_y
_atom_site_fract_z
_atom_site_occupancy
Ho1 0.000 0.000 0.293 1
Al1 0.250 0.250 0.250 1
Ni1 0.000 0.335 0.335 1
```

***

Record 3
Diffraction record for HoAlNi. The powder X-ray diffraction pattern is simulated, not measured: it uses a crystal structure in the Materials Project, relaxed with GGA-PBE and Cu Kα X-rays.

Main lines, by angle (2θ = 5–70°):
Position (°2θ), intensity, index
20.56, 43.5, 2 0 0
33.18, 38.4, 0 2 0
33.88, 91.4, 0 1 3
36.72, 72.6, 3 1 1
36.94, 48.7, 3 0 2
39.36, 65.1, 2 2 0
39.96, 100.0, 2 1 3
40.22, 36.1, 1 2 2
63.88, 24.4, 2 3 3
67.59, 24.5, 5 2 2

```
data_HoAlNi
_cell_length_a 8.638
_cell_length_b 5.399
_cell_length_c 9.105
_cell_angle_alpha 90.00
_cell_angle_beta 90.00
_cell_angle_gamma 90.00
_space_group_name_H-M_alt 'A m m 2'
_space_group_IT_number 38
loop_
_space_group_symop_operation_xyz
'x,y,z'
'-x,-y,z'
'-x,y,z'
'x,-y,z'
'x,y+1/2,z+1/2'
'-x,-y+1/2,z+1/2'
'-x,y+1/2,z+1/2'
'x,-y+1/2,z+1/2'
loop_
_atom_site_label
_atom_site_fract_x
_atom_site_fract_y
_atom_site_fract_z
_atom_site_occupancy
Ho1 0.182 0.000 0.000 1
Ho2 0.292 0.000 0.331 1
Al1 0.000 0.000 0.527 1
Al2 0.500 0.000 0.834 1
Al3 0.500 0.248 0.584 1
Ni1 0.000 0.245 0.764 1
Ni2 0.261 0.000 0.664 1
```

***

Record 4
Diffraction record for HoAl8Ni3. The powder X-ray diffraction pattern is simulated, not measured: it uses a crystal structure in the Materials Project, relaxed with GGA-PBE and Cu Kα X-rays.

Main lines, by angle (2θ = 5–70°):
Position (°2θ), intensity, index
12.03, 65.3, 0 0 2
17.97, 41.6, 1 0 2
23.36, 31.0, 0 1 1
26.77, 37.9, 2 0 0
32.08, 68.3, 1 1 3
35.81, 100.0, 2 1 1
39.15, 51.1, 1 0 6
39.92, 39.0, 2 1 3
40.58, 73.9, 1 1 5
46.01, 55.6, 0 2 0

```
data_HoAl8Ni3
_cell_length_a 6.661
_cell_length_b 3.943
_cell_length_c 14.712
_cell_angle_alpha 90.00
_cell_angle_beta 90.00
_cell_angle_gamma 90.00
_space_group_name_H-M_alt 'A m m 2'
_space_group_IT_number 38
loop_
_space_group_symop_operation_xyz
'x,y,z'
'-x,-y,z'
'-x,y,z'
'x,-y,z'
'x,y+1/2,z+1/2'
'-x,-y+1/2,z+1/2'
'-x,y+1/2,z+1/2'
'x,-y+1/2,z+1/2'
loop_
_atom_site_label
_atom_site_fract_x
_atom_site_fract_y
_atom_site_fract_z
_atom_site_occupancy
Ho1 0.000 0.000 0.000 1
Al1 0.000 0.000 0.200 1
Al2 0.211 0.000 0.805 1
Al3 0.266 0.000 0.630 1
Al4 0.307 0.000 0.435 1
Al5 0.500 0.000 0.061 1
Ni1 0.000 0.000 0.356 1
Ni2 0.500 0.000 0.248 1
Ni3 0.500 0.000 0.899 1
```

***

Record 5
Diffraction record for HoAl4Ni. The powder X-ray diffraction pattern is simulated, not measured: it uses a crystal structure in the Materials Project, relaxed with GGA-PBE and Cu Kα X-rays.

Main lines, by angle (2θ = 5–70°):
Position (°2θ), intensity, index
17.67, 81.5, 0 2 1
22.72, 44.5, 1 1 0
26.89, 54.2, 0 0 2
31.23, 86.9, 1 3 1
35.49, 100.0, 1 1 2
36.72, 43.1, 1 5 0
37.66, 56.7, 0 6 1
39.26, 86.1, 1 5 1
44.76, 56.2, 2 0 0
50.30, 30.7, 1 3 3

```
data_HoAl4Ni
_cell_length_a 4.048
_cell_length_b 15.362
_cell_length_c 6.629
_cell_angle_alpha 90.00
_cell_angle_beta 90.00
_cell_angle_gamma 90.00
_space_group_name_H-M_alt 'C m c m'
_space_group_IT_number 63
_space_group_name_Hall '-C 2c 2'
loop_
_atom_site_label
_atom_site_fract_x
_atom_site_fract_y
_atom_site_fract_z
_atom_site_occupancy
Ho1 0.000 0.118 0.250 1
Al1 0.000 0.076 0.750 1
Al2 0.000 0.312 0.053 1
Al3 0.000 0.500 0.000 1
Ni1 0.000 0.227 0.750 1
```

***

Record 6
Diffraction record for HoAl2Ni. The powder X-ray diffraction pattern is simulated, not measured: it uses a crystal structure in the Materials Project, relaxed with GGA-PBE and Cu Kα X-rays.

Main lines, by angle (2θ = 5–70°):
Position (°2θ), intensity, index
21.79, 21.6, 0 2 1
23.66, 67.0, 1 1 0
25.94, 51.7, 0 0 2
35.39, 95.0, 1 1 2
37.03, 100.0, 1 3 1
37.83, 56.5, 0 4 1
44.75, 27.5, 2 0 0
53.36, 42.1, 0 0 4
59.15, 15.3, 1 1 4
60.00, 29.0, 2 4 1

```
data_HoAl2Ni
_cell_length_a 4.050
_cell_length_b 10.141
_cell_length_c 6.868
_cell_angle_alpha 90.00
_cell_angle_beta 90.00
_cell_angle_gamma 90.00
_space_group_name_H-M_alt 'C m c m'
_space_group_IT_number 63
_space_group_name_Hall '-C 2c 2'
loop_
_atom_site_label
_atom_site_fract_x
_atom_site_fract_y
_atom_site_fract_z
_atom_site_occupancy
Ho1 0.000 0.062 0.250 1
Al1 0.000 0.344 0.054 1
Ni1 0.000 0.216 0.750 1
```